1.
This entry pairs a crystal structure of LiErS2 with its simulated PXRD pattern. Radiation: a wavelength of 1.5418 Å. Structure: a crystal structure in the Materials Project, relaxed with PBE.
Lines closer than 0.1° are merged.

Atomic structure:
abc: 6.695 6.695 6.695
angles: 132.45 132.45 69.51
Fractional positions:
Li1 0.375 0.625 0.750
Li2 0.625 0.375 0.250
Er1 0.125 0.875 0.250
Er2 0.875 0.125 0.750
S1 0.121 0.371 0.750
S2 0.371 0.121 0.250
S3 0.629 0.879 0.750
S4 0.879 0.629 0.250

Largest 6 diffraction maxima, by angle, 2θ from 5° to 70°:
- 4.846 Å, 18.31 deg, I = 100
- 3.136 Å, 28.46 deg, I = 27
- 3.033 Å, 29.45 deg, I = 29
- 2.699 Å, 33.19 deg, I = 50
- 2.358 Å, 38.17 deg, I = 32
- 1.926 Å, 47.18 deg, I = 36

***

2.
This entry pairs a crystal structure of Na6MgSi2Sn3P4O24 with its simulated PXRD pattern. Radiation: a wavelength of 1.5418 Å. Structure: a crystal structure in the Materials Project, relaxed with PBE.
Lines closer than 0.1° are merged.

Atomic structure:
abc: 8.989 8.996 9.045
angles: 60.32 89.92 60.03
Fractional positions:
Na1 0.000 0.000 0.000
Na2 0.098 0.509 0.243
Na3 0.202 0.986 0.521
Na4 0.331 0.394 0.966
Na5 0.609 0.497 0.761
Na6 0.877 0.631 0.567
Mg1 0.957 0.791 0.821
Si1 0.060 0.295 0.015
Si2 0.157 0.697 0.510
Sn1 0.258 0.204 0.699
Sn2 0.463 0.790 0.320
Sn3 0.757 0.203 0.205
P1 0.363 0.703 0.006
P2 0.562 0.005 0.507
P3 0.655 0.994 0.016
P4 0.859 0.289 0.519
O1 0.030 0.298 0.515
O2 0.045 0.487 0.001
O3 0.093 0.286 0.837
O4 0.119 0.702 0.682
O5 0.172 0.505 0.514
O6 0.196 0.697 0.002
O7 0.234 0.078 0.196
O8 0.328 0.899 0.828
O9 0.347 0.686 0.503
O10 0.375 0.148 0.515
O11 0.407 0.704 0.171
O12 0.484 0.126 0.852
O13 0.524 0.511 0.017
O14 0.552 0.836 0.504
O15 0.575 0.148 0.324
O16 0.633 0.858 0.193
O17 0.654 0.170 0.017
O18 0.704 0.489 0.503
O19 0.726 0.883 0.665
O20 0.819 0.295 0.348
O21 0.834 0.858 0.001
O22 0.874 0.298 0.018
O23 0.899 0.095 0.692
O24 0.981 0.907 0.325

Largest 6 diffraction maxima, by angle, 2θ from 5° to 70°:
- 4.531 Å, 19.59 deg, I = 100
- 4.497 Å, 19.74 deg, I = 92
- 3.846 Å, 23.12 deg, I = 65
- 2.868 Å, 31.19 deg, I = 61
- 2.859 Å, 31.28 deg, I = 65
- 2.597 Å, 34.54 deg, I = 89

***

3.
This entry pairs a crystal structure of PrGaO3 with its simulated PXRD pattern. Radiation: a wavelength of 1.5418 Å. Structure: a crystal structure in the Materials Project, relaxed with PBE.
Lines closer than 0.1° are merged.

Atomic structure:
abc: 5.610 7.837 5.509
angles: 90.00 90.00 90.00
Fractional positions:
Pr1 0.046 0.250 0.012
Pr2 0.454 0.750 0.512
Pr3 0.546 0.250 0.488
Pr4 0.954 0.750 0.988
Ga1 0.000 0.000 0.500
Ga2 0.000 0.500 0.500
Ga3 0.500 0.000 0.000
Ga4 0.500 0.500 0.000
O1 0.020 0.750 0.418
O2 0.211 0.544 0.788
O3 0.211 0.956 0.788
O4 0.289 0.044 0.288
O5 0.289 0.456 0.288
O6 0.480 0.250 0.918
O7 0.520 0.750 0.082
O8 0.711 0.544 0.712
O9 0.711 0.956 0.712
O10 0.789 0.044 0.212
O11 0.789 0.456 0.212
O12 0.980 0.250 0.582

Largest 6 diffraction maxima, by angle, 2θ from 5° to 70°:
- 2.805 Å, 31.91 deg, I = 22
- 2.775 Å, 32.26 deg, I = 100
- 2.754 Å, 32.51 deg, I = 24
- 1.965 Å, 46.19 deg, I = 24
- 1.959 Å, 46.34 deg, I = 15
- 1.595 Å, 57.81 deg, I = 33

***

4.
This entry pairs a crystal structure of SiO2 with its simulated PXRD pattern. Radiation: a wavelength of 1.5418 Å. Structure: a crystal structure in the Materials Project, relaxed with PBE.
Lines closer than 0.1° are merged.

Atomic structure:
abc: 7.242 7.242 7.242
angles: 104.50 104.50 119.84
Fractional positions:
Si1 0.039 0.323 0.073
Si2 0.192 0.374 0.539
Si3 0.323 0.039 0.573
Si4 0.374 0.192 0.039
Si5 0.626 0.808 0.961
Si6 0.677 0.961 0.427
Si7 0.808 0.626 0.461
Si8 0.961 0.677 0.927
O1 0.000 0.500 0.000
O2 0.053 0.793 0.445
O3 0.126 0.416 0.329
O4 0.207 0.947 0.055
O5 0.244 0.321 0.018
O6 0.321 0.244 0.518
O7 0.369 0.631 0.750
O8 0.416 0.126 0.829
O9 0.500 0.000 0.500
O10 0.584 0.874 0.171
O11 0.631 0.369 0.250
O12 0.679 0.756 0.482
O13 0.756 0.679 0.982
O14 0.793 0.053 0.945
O15 0.874 0.584 0.671
O16 0.947 0.207 0.555

Largest 6 diffraction maxima, by angle, 2θ from 5° to 70°:
- 3.479 Å, 25.61 deg, I = 45
- 3.141 Å, 28.42 deg, I = 100
- 3.133 Å, 28.49 deg, I = 34
- 2.806 Å, 31.89 deg, I = 11
- 2.737 Å, 32.72 deg, I = 14
- 1.739 Å, 52.63 deg, I = 9

***

5.
This entry pairs a crystal structure of Ba2SnS4O11 with its simulated PXRD pattern. Radiation: a wavelength of 1.5418 Å. Structure: a crystal structure in the Materials Project, relaxed with PBE.
Lines closer than 0.1° are merged.

Atomic structure:
abc: 5.874 7.299 17.054
angles: 81.97 82.47 71.99
Fractional positions:
Ba1 0.105 0.305 0.423
Ba2 0.215 0.459 0.127
Ba3 0.785 0.541 0.873
Ba4 0.895 0.695 0.577
Sn1 0.176 0.140 0.674
Sn2 0.824 0.860 0.326
S1 0.211 0.978 0.155
S2 0.340 0.786 0.419
S3 0.362 0.507 0.709
S4 0.439 0.196 0.951
S5 0.561 0.804 0.049
S6 0.638 0.493 0.291
S7 0.660 0.214 0.581
S8 0.789 0.022 0.845
O1 0.103 0.109 0.086
O2 0.112 0.486 0.747
O3 0.168 0.902 0.355
O4 0.173 0.316 0.576
O5 0.208 0.340 0.930
O6 0.291 0.601 0.449
O7 0.299 0.914 0.484
O8 0.306 0.701 0.657
O9 0.326 0.076 0.202
O10 0.422 0.716 0.005
O11 0.499 0.477 0.224
O12 0.501 0.523 0.776
O13 0.578 0.284 0.995
O14 0.674 0.924 0.798
O15 0.694 0.299 0.343
O16 0.701 0.086 0.516
O17 0.709 0.399 0.551
O18 0.792 0.660 0.070
O19 0.827 0.684 0.424
O20 0.832 0.098 0.645
O21 0.888 0.514 0.253
O22 0.897 0.891 0.914

Largest 6 diffraction maxima, by angle, 2θ from 5° to 70°:
- 16.813 Å, 5.26 deg, I = 100
- 4.145 Å, 21.44 deg, I = 67
- 3.455 Å, 25.79 deg, I = 81
- 3.212 Å, 27.77 deg, I = 79
- 3.161 Å, 28.24 deg, I = 65
- 3.004 Å, 29.74 deg, I = 59

***

6.
This entry pairs a crystal structure of Ba2DyMgSbO6 with its simulated PXRD pattern. Radiation: a wavelength of 1.5418 Å. Structure: a crystal structure in the Materials Project, relaxed with PBE.
Lines closer than 0.1° are merged.

Atomic structure:
abc: 6.241 6.241 7.455
angles: 114.78 114.78 60.00
Fractional positions:
Ba1 0.000 0.000 0.000
Ba2 0.548 0.548 0.645
Dy1 0.823 0.823 0.469
Mg1 0.230 0.230 0.690
Sb1 0.377 0.377 0.132
O1 0.057 0.057 0.700
O2 0.057 0.586 0.701
O3 0.117 0.582 0.284
O4 0.582 0.117 0.284
O5 0.583 0.583 0.286
O6 0.586 0.057 0.701

Largest 6 diffraction maxima, by angle, 2θ from 5° to 70°:
- 4.731 Å, 18.75 deg, I = 51
- 3.627 Å, 24.54 deg, I = 27
- 3.170 Å, 28.15 deg, I = 48
- 3.121 Å, 28.60 deg, I = 100
- 2.483 Å, 36.17 deg, I = 27
- 2.255 Å, 39.98 deg, I = 28

***

7.
This entry pairs a crystal structure of Er2Te3 with its simulated PXRD pattern. Radiation: a wavelength of 1.5418 Å. Structure: a crystal structure in the Materials Project, relaxed with PBE.
Lines closer than 0.1° are merged.

Atomic structure:
abc: 14.355 13.690 7.513
angles: 79.41 69.62 30.96
Fractional positions:
Er1 0.042 0.042 0.208
Er2 0.125 0.125 0.625
Er3 0.208 0.208 0.042
Er4 0.375 0.375 0.875
Er5 0.625 0.625 0.125
Er6 0.792 0.792 0.958
Er7 0.875 0.875 0.375
Er8 0.958 0.958 0.792
Te1 0.044 0.541 0.206
Te2 0.126 0.624 0.624
Te3 0.206 0.710 0.044
Te4 0.290 0.794 0.459
Te5 0.376 0.874 0.874
Te6 0.459 0.956 0.290
Te7 0.541 0.044 0.710
Te8 0.624 0.126 0.126
Te9 0.710 0.206 0.541
Te10 0.794 0.290 0.956
Te11 0.874 0.376 0.376
Te12 0.956 0.459 0.794

Largest 6 diffraction maxima, by angle, 2θ from 5° to 70°:
- 6.840 Å, 12.94 deg, I = 19
- 3.066 Å, 29.13 deg, I = 100
- 2.167 Å, 41.69 deg, I = 63
- 1.773 Å, 51.56 deg, I = 14
- 1.767 Å, 51.72 deg, I = 13
- 1.371 Å, 68.44 deg, I = 23

***

8.
This entry pairs a crystal structure of CuC2O8 with its simulated PXRD pattern. Radiation: a wavelength of 1.5418 Å. Structure: a crystal structure in the Materials Project, relaxed with PBE.
Lines closer than 0.1° are merged.

Atomic structure:
abc: 4.437 10.332 10.154
angles: 90.00 95.60 90.00
Fractional positions:
Cu1 0.000 0.000 0.000
Cu2 0.000 0.500 0.500
C1 0.107 0.173 0.706
C2 0.107 0.327 0.206
C3 0.893 0.673 0.794
C4 0.893 0.827 0.294
O1 0.075 0.067 0.744
O2 0.075 0.433 0.244
O3 0.138 0.220 0.168
O4 0.138 0.280 0.668
O5 0.401 0.527 0.541
O6 0.401 0.973 0.041
O7 0.442 0.542 0.962
O8 0.442 0.958 0.462
O9 0.558 0.042 0.538
O10 0.558 0.458 0.038
O11 0.599 0.027 0.959
O12 0.599 0.473 0.459
O13 0.862 0.720 0.332
O14 0.862 0.780 0.832
O15 0.925 0.567 0.756
O16 0.925 0.933 0.256

Largest 6 diffraction maxima, by angle, 2θ from 5° to 70°:
- 7.224 Å, 12.25 deg, I = 100
- 5.166 Å, 17.16 deg, I = 63
- 4.416 Å, 20.11 deg, I = 23
- 3.656 Å, 24.35 deg, I = 29
- 3.612 Å, 24.65 deg, I = 74
- 2.715 Å, 32.99 deg, I = 29

***

9.
This entry pairs a crystal structure of ThFe5 with its simulated PXRD pattern. Radiation: a wavelength of 1.5418 Å. Structure: a crystal structure in the Materials Project, relaxed with PBE.
Lines closer than 0.1° are merged.

Atomic structure:
abc: 5.071 5.071 4.044
angles: 90.00 90.00 120.00
Fractional positions:
Th1 0.000 0.000 0.000
Fe1 0.000 0.500 0.500
Fe2 0.333 0.667 0.000
Fe3 0.500 0.000 0.500
Fe4 0.500 0.500 0.500
Fe5 0.667 0.333 0.000

Largest 6 diffraction maxima, by angle, 2θ from 5° to 70°:
- 2.975 Å, 30.04 deg, I = 77
- 2.536 Å, 35.40 deg, I = 40
- 2.196 Å, 41.11 deg, I = 39
- 2.148 Å, 42.06 deg, I = 100
- 2.022 Å, 44.82 deg, I = 23
- 1.376 Å, 68.12 deg, I = 23

***

10.
This entry pairs a crystal structure of Li3Co with its simulated PXRD pattern. Radiation: a wavelength of 1.5418 Å. Structure: a crystal structure in the Materials Project, relaxed with PBE.
Lines closer than 0.1° are merged.

Atomic structure:
abc: 5.295 5.295 4.428
angles: 90.00 90.00 120.00
Fractional positions:
Li1 0.174 0.348 0.250
Li2 0.174 0.826 0.250
Li3 0.348 0.174 0.750
Li4 0.652 0.826 0.250
Li5 0.826 0.174 0.750
Li6 0.826 0.652 0.750
Co1 0.333 0.667 0.750
Co2 0.667 0.333 0.250

Largest 6 diffraction maxima, by angle, 2θ from 5° to 70°:
- 4.586 Å, 19.36 deg, I = 45
- 3.185 Å, 28.01 deg, I = 100
- 2.648 Å, 33.86 deg, I = 41
- 2.036 Å, 44.50 deg, I = 51
- 1.698 Å, 53.99 deg, I = 20
- 1.614 Å, 57.06 deg, I = 25